No. 1
Structure and calculated powder XRD pattern of Li3CoOF3 (the GGA+U geometry in the Materials Project; Cu Kα X-rays).
No peak broadening, texture or thermal motion is included.

```
16
Lattice="4.9479 -1.4806 0.0000 4.9479 1.4806 0.0000 -1.8182 0.0000 9.9165" Properties=species:S:1:pos:R:3 pbc="T T T"
Li 0.0000 0.0000 0.0000
Li -0.9091 0.0000 4.9583
Li 0.8989 0.0000 8.7117
Li 3.5618 0.0000 7.4497
Li 4.5158 0.0000 2.4668
Li 7.1787 0.0000 1.2048
Co 1.7015 0.0000 3.9527
Co 6.3761 0.0000 5.9638
O 2.7650 0.0000 5.6238
O 5.3126 0.0000 4.2927
F 0.9278 0.0000 1.8080
F 0.0179 0.0000 6.9146
F 3.6256 0.0000 0.6013
F 4.4520 0.0000 9.3152
F 8.0597 0.0000 3.0019
F 7.1498 0.0000 8.1085
```

Main lines, sorted by position (2θ = 10–90°):
- 2θ = 18.23°, I = 60
- 2θ = 18.81°, I = 39
- 2θ = 21.74°, I = 24
- 2θ = 35.66°, I = 21
- 2θ = 40.85°, I = 15
- 2θ = 43.13°, I = 100
- 2θ = 43.87°, I = 37
- 2θ = 47.43°, I = 16
- 2θ = 62.74°, I = 36
- 2θ = 63.68°, I = 15

No. 2
Structure and calculated powder XRD pattern of Li9Mn2Co5O16 (the GGA+U geometry in the Materials Project; Cu Kα X-rays).
No peak broadening, texture or thermal motion is included.

```
32
Lattice="6.5530 -1.4463 0.0000 6.5530 1.4463 0.0000 -0.8282 0.0000 15.2705" Properties=species:S:1:pos:R:3 pbc="T T T"
Li 0.0000 0.0000 0.0000
Li 1.4090 0.0000 5.7519
Li 2.0492 0.0000 8.5895
Li 2.6463 0.0000 11.3914
Li 4.8528 0.0000 1.9269
Li 6.1457 0.0000 7.6187
Li 7.5289 0.0000 13.3277
Li 9.6462 0.0000 3.8371
Li 10.9097 0.0000 9.4733
Mn 6.9410 0.0000 10.4365
Mn 9.0031 0.0000 0.9540
Co 0.6172 0.0000 2.8836
Co 3.3875 0.0000 14.2698
Co 5.4368 0.0000 4.8103
Co 10.1846 0.0000 6.7594
Co 11.6549 0.0000 12.3583
O -0.0374 0.0000 9.2165
O 0.5858 0.0000 11.7749
O 1.3072 0.0000 14.8986
O 2.7329 0.0000 2.2499
O 3.4945 0.0000 5.3189
O 4.0948 0.0000 7.9989
O 4.9236 0.0000 11.0674
O 5.3673 0.0000 13.6585
O 6.9284 0.0000 1.5983
O 7.4635 0.0000 4.1508
O 8.4279 0.0000 7.0578
O 8.7325 0.0000 10.0535
O 9.6030 0.0000 12.9735
O 11.0864 0.0000 0.3387
O 11.7240 0.0000 3.4497
O 12.2712 0.0000 6.1387
```

Main lines, sorted by position (2θ = 10–90°):
- 2θ = 18.33°, I = 100
- 2θ = 35.14°, I = 15
- 2θ = 36.19°, I = 25
- 2θ = 37.18°, I = 8
- 2θ = 42.48°, I = 29
- 2θ = 43.92°, I = 54
- 2θ = 47.46°, I = 9
- 2θ = 57.85°, I = 10
- 2θ = 62.75°, I = 29
- 2θ = 64.42°, I = 7

No. 3
Structure and calculated powder XRD pattern of NaFe2O4 (the GGA+U geometry in the Materials Project; Cu Kα X-rays).
No peak broadening, texture or thermal motion is included.

```
28
Lattice="5.1141 0.0000 0.0000 -0.0078 5.8998 0.0000 -0.0102 -0.0270 11.5013" Properties=species:S:1:pos:R:3 pbc="T T T"
Na 0.0000 0.0000 0.0000
Na 0.3030 2.9324 5.7598
Na 1.9870 2.9370 0.0061
Na 3.4496 -0.0092 5.7640
Fe 0.1444 2.9238 8.7131
Fe 0.1504 2.9559 2.8314
Fe 0.1623 5.8785 8.5544
Fe 0.1777 -0.0015 2.9565
Fe 2.7233 1.4594 2.8683
Fe 2.7142 1.4498 8.6320
Fe 2.7151 4.4006 2.8777
Fe 2.7099 4.4037 8.6313
O 0.9682 1.5216 1.8138
O 0.9848 4.4112 9.7264
O 1.0450 4.3500 1.8436
O 1.0728 1.4255 9.6887
O 1.7937 2.9831 3.8572
O 1.8475 2.8620 7.6286
O 1.9215 0.0711 7.5863
O 1.9442 5.8072 3.9191
O 3.5075 2.8342 9.6737
O 3.5613 3.0099 1.8621
O 3.5727 5.8322 1.8742
O 3.5763 0.0426 9.6382
O 4.3561 1.4733 7.5759
O 4.3865 4.3484 3.9124
O 4.4349 4.3965 7.5376
O 4.4788 1.5560 3.9403
```

Main lines, sorted by position (2θ = 10–90°):
- 2θ = 15.41°, I = 100
- 2θ = 31.10°, I = 11
- 2θ = 35.11°, I = 20
- 2θ = 38.55°, I = 36
- 2θ = 42.49°, I = 10
- 2θ = 47.59°, I = 33
- 2θ = 47.69°, I = 7
- 2θ = 60.32°, I = 11
- 2θ = 63.02°, I = 10
- 2θ = 65.25°, I = 6